Structure and computed X-ray powder pattern of Er3Al3Cu2Ir (DFT lattice parameters and positions (GGA-PBE); Cu Kα X-rays).
No peak broadening, texture or thermal motion is included.

Structural model:
```
data_Er3Al3Cu2Ir
_chemical_formula_sum 'Er3 Al3 Cu2 Ir1'
_symmetry_space_group_name_H-M 'P -6 2 m'
_symmetry_Int_Tables_number 189
_symmetry_space_group_name_Hall 'P -6 -2'
_cell_length_a 6.9879
_cell_length_b 6.9879
_cell_length_c 4.0395
_cell_angle_alpha 90.00
_cell_angle_beta 90.00
_cell_angle_gamma 120.00
loop_
_atom_site_label
_atom_site_fract_x
_atom_site_fract_y
_atom_site_fract_z
_atom_site_occupancy
Er1 0.0000 0.4173 0.0000 1
Al1 0.0000 0.7627 0.5000 1
Cu1 0.3333 0.6667 0.5000 1
Ir1 0.0000 0.0000 0.0000 1
```

Peak list (10 most intense, 10 to 90 degrees two-theta, low angle first)
22.0°, intensity 35
25.5°, intensity 26
29.5°, intensity 43
33.9°, intensity 48
37.1°, intensity 100
44.9°, intensity 40
45.6°, intensity 24
54.7°, intensity 29
59.7°, intensity 21
71.9°, intensity 20